LiP5: computed X-ray diffraction stick pattern (Cu Kα (λ = 1.5418 Å)), based on a GGA-PBE-relaxed structure.

Lattice parameters (Å, degrees): 10.512 6.687 6.597 90.00 90.00 90.00
Space group Pna2_1 (No. 33)
One atom of each set of equivalent atoms:
Li  0.078  0.043  0.000 [4 per cell]
P  0.084  0.585  0.370 [4 per cell]
P  0.093  0.599  0.854 [4 per cell]
P  0.129  0.111  0.629 [4 per cell]
P  0.191  0.446  0.112 [4 per cell]
P  0.193  0.423  0.612 [4 per cell]

Largest 8 diffraction maxima, by angle, 2θ = 10–80°:
- 5.642 Å, rel. 100
- 3.343 Å, rel. 38
- 2.848 Å, rel. 27
- 2.794 Å, rel. 43
- 2.578 Å, rel. 53
- 2.419 Å, rel. 49
- 1.742 Å, rel. 47
- 1.714 Å, rel. 44